For CeSmAl6, a cell relaxed with GGA-PBE gives the theoretical powder diffraction line list in this record (Cu Kα (weighted mean of Kα1 and Kα2)).

Atomic structure:
```
data_CeSmAl6
_cell_length_a 6.3955
_cell_length_b 6.3955
_cell_length_c 4.6426
_cell_angle_alpha 90.00
_cell_angle_beta 90.00
_cell_angle_gamma 120.00
_space_group_name_H-M_alt 'P -6 m 2'
_space_group_IT_number 187
_space_group_name_Hall 'P -6 2'
loop_
_atom_site_label
_atom_site_type_symbol
_atom_site_fract_x
_atom_site_fract_y
_atom_site_fract_z
Ce1 Ce 0.0000 0.0000 0.0000
Sm1 Sm 0.3333 0.6667 0.5000
Al1 Al 0.3780 0.1890 0.5000
Al2 Al 0.5232 0.0464 0.0000
```

Peak list (12 most intense, 2θ = 10–90°, by intensity)
(2 0 1), 37.83°, d 2.378, I 100
(1 0 1), 25.03°, d 3.558, I 96
(1 1 0), 27.90°, d 3.198, I 46
(2 0 0), 32.33°, d 2.769, I 25
(2 1 1), 47.65°, d 1.908, I 23
(1 0 0), 16.00°, d 5.539, I 22
(0 0 2), 38.79°, d 2.321, I 22
(1 1 2), 48.46°, d 1.879, I 21
(3 1 1), 63.82°, d 1.458, I 18
(2 2 2), 71.67°, d 1.317, I 18
(2 2 0), 57.65°, d 1.599, I 17
(2 0 3), 69.59°, d 1.351, I 16



For KScH4C4O10, a cell relaxed with GGA-PBE gives the theoretical powder diffraction line list in this record (Cu Kα (weighted mean of Kα1 and Kα2)).

Atomic structure:
```
data_KScH4C4O10
_cell_length_a 8.9379
_cell_length_b 8.9379
_cell_length_c 11.6642
_cell_angle_alpha 90.00
_cell_angle_beta 90.00
_cell_angle_gamma 120.00
_space_group_name_H-M_alt 'P 62 2 2'
_space_group_IT_number 180
_space_group_name_Hall 'P 62 2 (0 0 4)'
loop_
_atom_site_label
_atom_site_type_symbol
_atom_site_fract_x
_atom_site_fract_y
_atom_site_fract_z
K1 K 0.0000 0.0000 0.0000
Sc1 Sc 0.0000 0.5000 0.6667
H1 H 0.0984 0.3455 0.1829
C1 C 0.2106 0.4212 0.5000
C2 C 0.3098 0.6196 0.5000
O1 O 0.0000 0.2304 0.1667
O2 O 0.0812 0.3472 0.5657
O3 O 0.2417 0.5515 0.7758
```

Peak list (12 most intense, 2θ = 10–90°, by intensity)
(1 0 1), 13.73°, d 6.450, I 100
(2 0 3), 32.65°, d 2.743, I 48
(1 0 2), 19.05°, d 4.658, I 23
(2 1 4), 43.82°, d 2.066, I 14
(4 0 0), 46.93°, d 1.936, I 14
(1 1 0), 19.87°, d 4.469, I 12
(3 0 2), 38.14°, d 2.360, I 11
(1 1 2), 25.10°, d 3.547, I 8
(2 1 5), 50.01°, d 1.824, I 8
(3 1 2), 45.00°, d 2.015, I 8
(1 0 3), 25.64°, d 3.474, I 8
(2 2 0), 40.37°, d 2.234, I 6



For DyPaN3, a cell relaxed with GGA-PBE gives the theoretical powder diffraction line list in this record (Cu Kα (weighted mean of Kα1 and Kα2)).

Atomic structure:
```
data_DyPaN3
_cell_length_a 13.319
_cell_length_b 3.625
_cell_length_c 6.841
_cell_angle_alpha 90.00
_cell_angle_beta 118.86
_cell_angle_gamma 90.00
_space_group_name_H-M_alt 'C 1 2/m 1'
_space_group_IT_number 12
_space_group_name_Hall '-C 2y'
loop_
_atom_site_label
_atom_site_type_symbol
_atom_site_fract_x
_atom_site_fract_y
_atom_site_fract_z
Dy1 Dy 0.119 0.000 0.284
Pa1 Pa 0.132 0.500 0.768
N1 N 0.060 0.500 0.397
N2 N 0.092 0.000 0.919
N3 N 0.229 0.000 0.711
```

Peak list (12 most intense, 2θ = 10–90°, by intensity)
(3 1 -1), 32.11°, d 2.788, I 100
(0 0 2), 29.83°, d 2.996, I 88
(4 0 0), 30.66°, d 2.916, I 87
(1 1 1), 31.65°, d 2.827, I 84
(1 1 -1), 27.86°, d 3.202, I 82
(4 0 -2), 30.78°, d 2.905, I 61
(3 1 -3), 47.10°, d 1.929, I 56
(4 2 0), 60.14°, d 1.539, I 50
(5 1 -1), 42.26°, d 2.139, I 37
(0 2 0), 50.33°, d 1.813, I 33
(1 1 3), 56.39°, d 1.632, I 30
(0 2 2), 59.62°, d 1.551, I 26



For DyThTlIn, a cell relaxed with GGA-PBE gives the theoretical powder diffraction line list in this record (Cu Kα (weighted mean of Kα1 and Kα2)).

Atomic structure:
```
data_DyThTlIn
_cell_length_a 5.051
_cell_length_b 5.051
_cell_length_c 8.802
_cell_angle_alpha 90.00
_cell_angle_beta 90.00
_cell_angle_gamma 90.00
_space_group_name_H-M_alt 'I -4 m 2'
_space_group_IT_number 119
_space_group_name_Hall 'I -4 -2'
loop_
_atom_site_label
_atom_site_type_symbol
_atom_site_fract_x
_atom_site_fract_y
_atom_site_fract_z
Dy1 Dy 0.000 0.000 0.000
Th1 Th 0.000 0.000 0.500
Tl1 Tl 0.000 0.500 0.750
In1 In 0.000 0.500 0.250
```

Peak list (12 most intense, 2θ = 10–90°, by intensity)
(1 1 2), 32.28°, d 2.773, I 100
(2 0 0), 35.54°, d 2.526, I 39
(3 1 2), 61.78°, d 1.502, I 32
(2 0 4), 55.38°, d 1.659, I 22
(2 2 0), 51.15°, d 1.786, I 14
(0 0 4), 41.02°, d 2.201, I 13
(2 2 4), 67.55°, d 1.387, I 12
(1 1 6), 69.24°, d 1.357, I 11
(1 0 1), 20.26°, d 4.383, I 7
(4 2 0), 86.08°, d 1.130, I 7
(3 3 2), 84.25°, d 1.149, I 7
(4 0 4), 89.47°, d 1.095, I 6



For AcLa2RuO8, a cell relaxed with GGA-PBE gives the theoretical powder diffraction line list in this record (Cu Kα (weighted mean of Kα1 and Kα2)).

Atomic structure:
```
data_AcLa2RuO8
_cell_length_a 4.740
_cell_length_b 5.468
_cell_length_c 7.272
_cell_angle_alpha 93.94
_cell_angle_beta 91.39
_cell_angle_gamma 90.90
_space_group_name_H-M_alt 'P -1'
_space_group_IT_number 2
_space_group_name_Hall '-P 1'
loop_
_atom_site_label
_atom_site_type_symbol
_atom_site_fract_x
_atom_site_fract_y
_atom_site_fract_z
Ac1 Ac 0.000 0.000 0.000
La1 La 0.452 0.459 0.745
Ru1 Ru 0.000 0.000 0.500
O1 O 0.085 0.751 0.290
O2 O 0.169 0.815 0.687
O3 O 0.326 0.183 0.469
O4 O 0.415 0.266 0.010
```

Peak list (12 most intense, 2θ = 10–90°, by intensity)
(1 -1 0), 24.68°, d 3.608, I 100
(1 1 0), 25.11°, d 3.546, I 83
(0 1 -2), 28.60°, d 3.121, I 64
(0 1 2), 30.53°, d 2.928, I 58
(1 0 -2), 30.66°, d 2.916, I 42
(1 0 2), 31.45°, d 2.845, I 36
(1 -2 2), 44.51°, d 2.036, I 28
(0 2 0), 32.84°, d 2.727, I 27
(2 0 0), 37.99°, d 2.369, I 27
(1 2 -2), 44.43°, d 2.039, I 26
(-1 2 2), 46.61°, d 1.948, I 23
(0 0 4), 50.32°, d 1.813, I 17



For NdDy2Tm4, a cell relaxed with GGA-PBE gives the theoretical powder diffraction line list in this record (Cu Kα (weighted mean of Kα1 and Kα2)).

Atomic structure:
```
data_NdDy2Tm4
_cell_length_a 16.507
_cell_length_b 3.503
_cell_length_c 8.683
_cell_angle_alpha 90.00
_cell_angle_beta 119.51
_cell_angle_gamma 90.00
_space_group_name_H-M_alt 'C 1 2/m 1'
_space_group_IT_number 12
_space_group_name_Hall '-C 2y'
loop_
_atom_site_label
_atom_site_type_symbol
_atom_site_fract_x
_atom_site_fract_y
_atom_site_fract_z
Nd1 Nd 0.000 0.000 0.000
Dy1 Dy 0.070 0.000 0.430
Tm1 Tm 0.144 0.500 0.835
Tm2 Tm 0.206 0.500 0.294
```

Peak list (12 most intense, 2θ = 10–90°, by intensity)
(2 0 2), 31.69°, d 2.824, I 100
(6 0 -1), 33.27°, d 2.693, I 90
(4 0 -3), 31.79°, d 2.815, I 47
(3 1 -1), 30.36°, d 2.944, I 36
(2 2 2), 62.43°, d 1.488, I 29
(7 1 -3), 48.69°, d 1.870, I 20
(10 0 -4), 58.55°, d 1.577, I 16
(6 2 -1), 63.31°, d 1.469, I 14
(0 2 0), 52.22°, d 1.752, I 13
(5 1 1), 46.81°, d 1.941, I 12
(1 1 -3), 42.06°, d 2.148, I 12
(3 1 -2), 33.61°, d 2.666, I 11



For PmNdAlNi, a cell relaxed with GGA-PBE gives the theoretical powder diffraction line list in this record (Cu Kα (weighted mean of Kα1 and Kα2)).

Atomic structure:
```
data_PmNdAlNi
_cell_length_a 7.258
_cell_length_b 7.258
_cell_length_c 7.258
_cell_angle_alpha 90.00
_cell_angle_beta 90.00
_cell_angle_gamma 90.00
_space_group_name_H-M_alt 'F -4 3 m'
_space_group_IT_number 216
_space_group_name_Hall 'F -4 2 3'
loop_
_atom_site_label
_atom_site_type_symbol
_atom_site_fract_x
_atom_site_fract_y
_atom_site_fract_z
Pm1 Pm 0.000 0.000 0.000
Nd1 Nd 0.000 0.000 0.500
Al1 Al 0.250 0.250 0.750
Ni1 Ni 0.250 0.250 0.250
```

Peak list (12 most intense, 2θ = 10–90°, by intensity)
(2 2 0), 34.97°, d 2.566, I 100
(4 2 2), 62.71°, d 1.481, I 36
(2 0 0), 24.53°, d 3.629, I 33
(4 0 0), 50.29°, d 1.814, I 18
(6 2 0), 84.41°, d 1.148, I 16
(4 2 0), 56.72°, d 1.623, I 14
(4 4 0), 73.86°, d 1.283, I 11
(2 2 2), 43.18°, d 2.095, I 10
(6 0 0), 79.18°, d 1.210, I 7
(6 2 2), 89.59°, d 1.094, I 4
(1 1 1), 21.20°, d 4.190, I 2
(3 1 1), 41.26°, d 2.188, I 1



For Li2Cd9Ag, a cell relaxed with GGA-PBE gives the theoretical powder diffraction line list in this record (Cu Kα (weighted mean of Kα1 and Kα2)).

Atomic structure:
```
data_Li2Cd9Ag
_cell_length_a 5.283
_cell_length_b 6.824
_cell_length_c 7.767
_cell_angle_alpha 68.03
_cell_angle_beta 88.91
_cell_angle_gamma 74.68
_space_group_name_H-M_alt 'P -1'
_space_group_IT_number 2
_space_group_name_Hall '-P 1'
loop_
_atom_site_label
_atom_site_type_symbol
_atom_site_fract_x
_atom_site_fract_y
_atom_site_fract_z
Li1 Li 0.084 0.242 0.086
Cd1 Cd 0.157 0.508 0.683
Cd2 Cd 0.243 0.760 0.252
Cd3 Cd 0.328 0.999 0.838
Cd4 Cd 0.415 0.248 0.414
Cd5 Cd 0.500 0.500 0.000
Ag1 Ag 0.000 0.000 0.500
```

Peak list (12 most intense, 2θ = 10–90°, by intensity)
(0 1 3), 34.65°, d 2.588, I 100
(2 1 1), 35.70°, d 2.515, I 95
(1 2 -1), 36.00°, d 2.495, I 92
(-1 2 1), 36.20°, d 2.481, I 91
(1 -1 2), 41.01°, d 2.201, I 64
(1 3 2), 41.44°, d 2.179, I 62
(2 0 -2), 41.73°, d 2.165, I 59
(3 3 0), 60.80°, d 1.523, I 38
(0 0 1), 12.34°, d 7.175, I 24
(0 3 -3), 71.59°, d 1.318, I 22
(3 0 3), 71.04°, d 1.327, I 22
(4 1 -1), 72.88°, d 1.298, I 21



For Mg2AlTl2, a cell relaxed with GGA-PBE gives the theoretical powder diffraction line list in this record (Cu Kα (weighted mean of Kα1 and Kα2)).

Atomic structure:
```
data_Mg2AlTl2
_cell_length_a 8.117
_cell_length_b 8.117
_cell_length_c 3.782
_cell_angle_alpha 90.00
_cell_angle_beta 90.00
_cell_angle_gamma 90.00
_space_group_name_H-M_alt 'P 4/m b m'
_space_group_IT_number 127
_space_group_name_Hall '-P 4 2ab'
loop_
_atom_site_label
_atom_site_type_symbol
_atom_site_fract_x
_atom_site_fract_y
_atom_site_fract_z
Mg1 Mg 0.137 0.363 0.000
Al1 Al 0.000 0.000 0.000
Tl1 Tl 0.166 0.666 0.500
```

Peak list (12 most intense, 2θ = 10–90°, by intensity)
(2 1 1), 34.24°, d 2.619, I 100
(2 1 0), 24.52°, d 3.630, I 69
(0 0 1), 23.52°, d 3.782, I 28
(3 1 0), 34.96°, d 2.567, I 27
(4 1 1), 52.40°, d 1.746, I 26
(2 0 1), 32.36°, d 2.767, I 24
(2 0 0), 21.90°, d 4.058, I 21
(3 3 1), 53.69°, d 1.707, I 19
(2 1 2), 54.73°, d 1.677, I 16
(4 1 0), 46.11°, d 1.969, I 16
(5 2 1), 66.82°, d 1.400, I 15
(3 3 0), 47.53°, d 1.913, I 15



For SrZn2InAu, a cell relaxed with GGA-PBE gives the theoretical powder diffraction line list in this record (Cu Kα (weighted mean of Kα1 and Kα2)).

Atomic structure:
```
data_SrZn2InAu
_cell_length_a 4.364
_cell_length_b 4.478
_cell_length_c 11.861
_cell_angle_alpha 90.00
_cell_angle_beta 90.00
_cell_angle_gamma 90.00
_space_group_name_H-M_alt 'I m m 2'
_space_group_IT_number 44
_space_group_name_Hall 'I 2 -2'
loop_
_atom_site_label
_atom_site_type_symbol
_atom_site_fract_x
_atom_site_fract_y
_atom_site_fract_z
Sr1 Sr 0.000 0.000 0.000
Zn1 Zn 0.000 0.000 0.615
Zn2 Zn 0.000 0.500 0.254
In1 In 0.000 0.500 0.748
Au1 Au 0.000 0.000 0.397
```

Peak list (12 most intense, 2θ = 10–90°, by intensity)
(1 1 2), 32.38°, d 2.765, I 100
(1 1 4), 42.00°, d 2.151, I 46
(1 0 3), 30.51°, d 2.930, I 33
(0 2 0), 40.28°, d 2.239, I 32
(0 1 1), 21.21°, d 4.189, I 30
(2 0 0), 41.38°, d 2.182, I 29
(0 1 5), 43.16°, d 2.096, I 27
(0 1 3), 30.15°, d 2.964, I 22
(2 2 0), 59.12°, d 1.563, I 20
(1 0 5), 43.42°, d 2.084, I 19
(2 1 5), 61.33°, d 1.512, I 19
(0 0 2), 14.94°, d 5.931, I 18



For ScIn3Hg6, a cell relaxed with GGA-PBE gives the theoretical powder diffraction line list in this record (Cu Kα (weighted mean of Kα1 and Kα2)).

Atomic structure:
```
data_ScIn3Hg6
_cell_length_a 13.2497
_cell_length_b 13.2497
_cell_length_c 10.0265
_cell_angle_alpha 90.00
_cell_angle_beta 90.00
_cell_angle_gamma 120.00
_space_group_name_H-M_alt 'R -3 c'
_space_group_IT_number 167
_space_group_name_Hall '-R 3 2"c'
loop_
_atom_site_label
_atom_site_type_symbol
_atom_site_fract_x
_atom_site_fract_y
_atom_site_fract_z
Sc1 Sc 0.0000 0.0000 0.0000
In1 In 0.0000 0.1567 0.2500
Hg1 Hg 0.0298 0.2381 0.9366
```

Peak list (12 most intense, 2θ = 10–90°, by intensity)
(1 1 3), 29.94°, d 2.984, I 100
(3 2 1), 35.25°, d 2.546, I 76
(2 2 3), 38.26°, d 2.353, I 64
(4 1 0), 35.86°, d 2.504, I 59
(0 4 2), 36.07°, d 2.490, I 31
(1 2 2), 27.19°, d 3.280, I 31
(2 2 0), 26.92°, d 3.312, I 30
(3 3 3), 49.47°, d 1.842, I 25
(0 7 2), 59.31°, d 1.558, I 24
(2 3 5), 57.80°, d 1.595, I 22
(3 1 2), 33.35°, d 2.687, I 22
(8 1 1), 70.76°, d 1.331, I 21



For CeHg2Au9, a cell relaxed with GGA-PBE gives the theoretical powder diffraction line list in this record (Cu Kα (weighted mean of Kα1 and Kα2)).

Atomic structure:
```
data_CeHg2Au9
_cell_length_a 5.488
_cell_length_b 5.817
_cell_length_c 9.366
_cell_angle_alpha 103.93
_cell_angle_beta 90.21
_cell_angle_gamma 118.02
_space_group_name_H-M_alt 'P -1'
_space_group_IT_number 2
_space_group_name_Hall '-P 1'
loop_
_atom_site_label
_atom_site_type_symbol
_atom_site_fract_x
_atom_site_fract_y
_atom_site_fract_z
Ce1 Ce 0.000 0.000 0.000
Hg1 Hg 0.121 0.234 0.413
Au1 Au 0.065 0.615 0.272
Au2 Au 0.311 0.620 0.999
Au3 Au 0.423 0.366 0.725
Au4 Au 0.450 0.889 0.778
Au5 Au 0.500 0.000 0.500
```

Peak list (12 most intense, 2θ = 10–90°, by intensity)
(2 0 1), 40.19°, d 2.244, I 100
(1 -2 3), 38.35°, d 2.347, I 78
(0 0 4), 40.07°, d 2.250, I 65
(0 2 -1), 34.94°, d 2.568, I 62
(0 1 3), 39.16°, d 2.300, I 60
(-1 2 1), 35.49°, d 2.529, I 55
(2 -2 0), 37.50°, d 2.398, I 46
(1 1 -3), 38.22°, d 2.355, I 38
(1 1 -1), 30.88°, d 2.896, I 36
(0 2 -3), 40.44°, d 2.231, I 35
(2 -1 2), 38.47°, d 2.340, I 35
(-1 1 2), 28.95°, d 3.085, I 28